No. 1
Theoretical PXRD pattern of Li8Mn7FeB8O24 for Cu Kα, 1.54184 Å, from a DFT-relaxed cell (PBE+U, the Materials Project).
Kinematic intensities with the Lorentz-polarization factor, no thermal factor.

Structural model:
```
data_Li8Mn7FeB8O24
_space_group_name_H-M_alt 'P 1'
_space_group_IT_number 1
_cell_length_a 5.2569
_cell_length_b 9.1168
_cell_length_c 11.6016
_cell_angle_alpha 68.58
_cell_angle_beta 77.70
_cell_angle_gamma 89.88
loop_
_space_group_symop_operation_xyz
'x,y,z'
loop_
_atom_site_label
_atom_site_type_symbol
_atom_site_fract_x
_atom_site_fract_y
_atom_site_fract_z
Li1 Li 0.0000 0.0000 0.0000
Li2 Li 0.0240 0.0401 0.2501
Li3 Li 0.2661 0.2448 0.5004
Li4 Li 0.3158 0.2765 0.7500
Li5 Li 0.4996 0.5005 0.9999
Li6 Li 0.5240 0.5407 0.2500
Li7 Li 0.7670 0.7452 0.4997
Li8 Li 0.8151 0.7778 0.7496
Mn1 Mn 0.0229 0.3450 0.9654
Mn2 Mn 0.0547 0.7204 0.2138
Mn3 Mn 0.2732 0.9288 0.4652
Mn4 Mn 0.3207 0.6300 0.7149
Mn5 Mn 0.5517 0.2193 0.2154
Mn6 Mn 0.7733 0.4287 0.4655
Mn7 Mn 0.8190 0.1281 0.7174
Fe1 Fe 0.5297 0.8435 0.9652
B1 B 0.0325 0.6828 0.9577
B2 B 0.0600 0.3928 0.2077
B3 B 0.2718 0.5993 0.4579
B4 B 0.3251 0.9701 0.7088
B5 B 0.5279 0.1786 0.9585
B6 B 0.5611 0.8928 0.2067
B7 B 0.7720 0.0994 0.4578
B8 B 0.8259 0.4704 0.7083
O1 O 0.0278 0.6309 0.4274
O2 O 0.0582 0.4351 0.7490
O3 O 0.1283 0.7940 0.9974
O4 O 0.1953 0.5736 0.9278
O5 O 0.1945 0.8600 0.6782
O6 O 0.2243 0.1148 0.6939
O7 O 0.2744 0.1751 0.9434
O8 O 0.3274 0.4144 0.1932
O9 O 0.3910 0.9906 0.2484
O10 O 0.3918 0.4700 0.4431
O11 O 0.3936 0.6997 0.5000
O12 O 0.4617 0.7729 0.1757
O13 O 0.5276 0.1308 0.4273
O14 O 0.5565 0.9344 0.7500
O15 O 0.6200 0.2906 0.9991
O16 O 0.6938 0.0700 0.9294
O17 O 0.6956 0.3598 0.6783
O18 O 0.7249 0.6149 0.6943
O19 O 0.7750 0.6791 0.9452
O20 O 0.8280 0.9144 0.1931
O21 O 0.8911 0.4916 0.2483
O22 O 0.8915 0.9698 0.4433
O23 O 0.8935 0.1997 0.4999
O24 O 0.9598 0.2719 0.1778
```

The 10 most intense peaks (2θ = 5–70°), by intensity:
- 34.10°, I = 100
- 19.50°, I = 35
- 21.49°, I = 31
- 40.25°, I = 25
- 25.48°, I = 24
- 21.28°, I = 20
- 26.26°, I = 15
- 48.22°, I = 15
- 40.57°, I = 12
- 61.01°, I = 11

=====

No. 2
Theoretical PXRD pattern of Li4MnFe3B4O12 for Cu Kα, 1.54184 Å, from a DFT-relaxed cell (PBE+U, the Materials Project).
Kinematic intensities with the Lorentz-polarization factor, no thermal factor.

Structural model:
```
data_Li4MnFe3B4O12
_space_group_name_H-M_alt 'P 1'
_space_group_IT_number 1
_cell_length_a 5.1670
_cell_length_b 5.2216
_cell_length_c 10.9983
_cell_angle_alpha 77.09
_cell_angle_beta 78.94
_cell_angle_gamma 60.79
loop_
_space_group_symop_operation_xyz
'x,y,z'
loop_
_atom_site_label
_atom_site_type_symbol
_atom_site_fract_x
_atom_site_fract_y
_atom_site_fract_z
Li1 Li 0.0000 0.0000 0.0000
Li2 Li 0.1954 0.9364 0.3296
Li3 Li 0.4967 0.5024 0.5027
Li4 Li 0.7024 0.4329 0.8264
Mn1 Mn 0.3209 0.3344 0.0468
Fe1 Fe 0.3849 0.1029 0.7803
Fe2 Fe 0.8165 0.8294 0.5463
Fe3 Fe 0.8830 0.5949 0.2823
B1 B 0.0390 0.7638 0.7924
B2 B 0.1592 0.1724 0.5350
B3 B 0.5399 0.2649 0.2965
B4 B 0.6595 0.6734 0.0335
O1 O 0.0115 0.0286 0.8106
O2 O 0.1857 0.9076 0.5174
O3 O 0.2946 0.4967 0.8215
O4 O 0.3016 0.2597 0.2542
O5 O 0.3953 0.1815 0.5762
O6 O 0.4026 0.9339 0.0022
O7 O 0.5096 0.5338 0.3130
O8 O 0.6965 0.4034 0.0150
O9 O 0.7918 0.9991 0.3259
O10 O 0.8028 0.7549 0.7507
O11 O 0.8876 0.6878 0.0786
O12 O 0.9028 0.4391 0.5062
```

The 10 most intense peaks (2θ = 5–70°), by intensity:
- 33.60°, I = 100
- 20.42°, I = 82
- 22.56°, I = 63
- 41.07°, I = 33
- 22.22°, I = 31
- 34.13°, I = 30
- 34.76°, I = 27
- 34.36°, I = 25
- 20.71°, I = 25
- 40.18°, I = 24

=====

No. 3
Theoretical PXRD pattern of Li2MnFeB2O6 for Cu Kα, 1.54184 Å, from a DFT-relaxed cell (PBE+U, the Materials Project).
Kinematic intensities with the Lorentz-polarization factor, no thermal factor.

Structural model:
```
data_Li2MnFeB2O6
_space_group_name_H-M_alt 'P 1'
_space_group_IT_number 1
_cell_length_a 5.1581
_cell_length_b 6.0287
_cell_length_c 9.1429
_cell_angle_alpha 75.93
_cell_angle_beta 89.57
_cell_angle_gamma 66.78
loop_
_space_group_symop_operation_xyz
'x,y,z'
loop_
_atom_site_label
_atom_site_type_symbol
_atom_site_fract_x
_atom_site_fract_y
_atom_site_fract_z
Li1 Li 0.2418 0.1803 0.3105
Li2 Li 0.2490 0.8327 0.1847
Li3 Li 0.7510 0.1673 0.8153
Li4 Li 0.7582 0.8197 0.6895
Mn1 Mn 0.2133 0.2640 0.6260
Mn2 Mn 0.7867 0.7360 0.3740
Fe1 Fe 0.2935 0.7327 0.8740
Fe2 Fe 0.7065 0.2673 0.1260
B1 B 0.2267 0.2400 0.9619
B2 B 0.2720 0.7614 0.5398
B3 B 0.7280 0.2386 0.4602
B4 B 0.7733 0.7600 0.0381
O1 O 0.0577 0.6733 0.5672
O2 O 0.1172 0.1784 0.8463
O3 O 0.1311 0.2078 0.1037
O4 O 0.3589 0.8043 0.3964
O5 O 0.3860 0.8142 0.6583
O6 O 0.4462 0.3241 0.9353
O7 O 0.5538 0.6759 0.0647
O8 O 0.6140 0.1858 0.3417
O9 O 0.6411 0.1957 0.6036
O10 O 0.8689 0.7922 0.8963
O11 O 0.8828 0.8216 0.1537
O12 O 0.9423 0.3267 0.4328
```

The 10 most intense peaks (2θ = 5–70°), by intensity:
- 33.51°, I = 100
- 20.45°, I = 81
- 22.52°, I = 60
- 40.89°, I = 53
- 34.08°, I = 32
- 22.23°, I = 32
- 34.82°, I = 31
- 40.21°, I = 24
- 34.29°, I = 24
- 20.71°, I = 23

=====

No. 4
Theoretical PXRD pattern of Li4MnFe3B4O12 for Cu Kα, 1.54184 Å, from a DFT-relaxed cell (PBE+U, the Materials Project).
Kinematic intensities with the Lorentz-polarization factor, no thermal factor.

Structural model:
```
data_Li4MnFe3B4O12
_space_group_name_H-M_alt 'P 1'
_space_group_IT_number 1
_cell_length_a 5.1808
_cell_length_b 6.0045
_cell_length_c 9.1287
_cell_angle_alpha 75.26
_cell_angle_beta 89.83
_cell_angle_gamma 66.66
loop_
_space_group_symop_operation_xyz
'x,y,z'
loop_
_atom_site_label
_atom_site_type_symbol
_atom_site_fract_x
_atom_site_fract_y
_atom_site_fract_z
Li1 Li 0.0000 0.0000 0.0000
Li2 Li 0.0064 0.6514 0.8703
Li3 Li 0.4943 0.0079 0.4965
Li4 Li 0.5028 0.6537 0.3692
Mn1 Mn 0.4627 0.0951 0.8076
Fe1 Fe 0.0375 0.5720 0.5543
Fe2 Fe 0.5377 0.5616 0.0560
Fe3 Fe 0.9574 0.0944 0.3070
B1 B 0.0241 0.5847 0.2223
B2 B 0.4741 0.0660 0.1477
B3 B 0.5240 0.5884 0.7211
B4 B 0.9768 0.0701 0.6440
O1 O 0.1241 0.6181 0.0817
O2 O 0.1324 0.6447 0.3401
O3 O 0.1905 0.1579 0.6165
O4 O 0.3016 0.5094 0.7447
O5 O 0.3675 0.0070 0.0301
O6 O 0.3767 0.0345 0.2892
O7 O 0.6197 0.6257 0.5802
O8 O 0.6380 0.6373 0.8425
O9 O 0.6944 0.1490 0.1234
O10 O 0.8048 0.5034 0.2470
O11 O 0.8664 0.0099 0.5280
O12 O 0.8876 0.0306 0.7886
```

The 10 most intense peaks (2θ = 5–70°), by intensity:
- 33.83°, I = 100
- 20.32°, I = 89
- 22.46°, I = 63
- 34.18°, I = 57
- 22.32°, I = 33
- 41.15°, I = 32
- 34.66°, I = 26
- 20.67°, I = 24
- 40.20°, I = 24
- 61.91°, I = 23